1.
For Rb4Cd2Au, a DFT-relaxed cell (PBE, Alexandria) gives the simulated powder diffraction line list in this record (copper Kα).

a b c (Å): 8.247 8.700 11.202
angles (deg): 71.15 68.50 62.49
Space group P-1 (No. 2)
Inequivalent atoms, fractional coordinates:
Rb (0.001, 0.263, 0.145) x2
Rb (0.002, 0.242, 0.757) x2
Rb (0.365, 0.254, 0.365) x2
Rb (0.496, 0.704, 0.303) x2
Cd (0.000, 0.000, 0.500) x1
Cd (0.419, 0.890, 0.965) x2
Cd (0.500, 0.500, 0.000) x1
Au (0.128, 0.617, 0.552) x2

Most intense lines, 2θ from 5° to 70°, most intense first:
two_theta  Rel. int.  h k l
31.91  100.0  1 0 -3
27.78  90.3  2 1 3
32.00  79.6  1 3 2
13.24  71.4  1 0 1
32.35  68.8  1 -2 1
25.21  54.9  2 0 0
17.02  54.3  1 0 -1
26.56  44.8  0 1 3
26.97  42.6  2 2 0
25.88  39.9  1 0 3

---

2.
For Pm4Ti, a DFT-relaxed cell (PBE, Alexandria) gives the simulated powder diffraction line list in this record (copper Kα).

a b c (Å): 5.551 5.551 5.551
angles (deg): 90.00 90.00 90.00
Space group Pm-3m (No. 221)
Inequivalent atoms, fractional coordinates:
Pm (0.000, 0.000, 0.000) x1
Pm (0.000, 0.500, 0.500) x3
Ti (0.500, 0.500, 0.500) x1

Most intense lines, 2θ from 5° to 70°, most intense first:
two_theta  Rel. int.  h k l
27.84  100.0  1 1 1
32.25  71.0  2 0 0
46.26  51.9  2 2 0
54.85  46.1  3 1 1
57.51  18.0  2 2 2
67.49  8.3  4 0 0
15.97  2.5  1 0 0
22.65  2.1  1 1 0
36.18  1.2  2 1 0
39.78  0.9  2 1 1